Sr5Ca3Fe2Co6O24: theoretical powder XRD pattern (Cu Ka), based on a structure optimized by DFT (GGA+U).

a = 7.679 Å, b = 7.734 Å, c = 7.724 Å
α = 90.00°, β = 90.02°, γ = 90.00°
Space group Pm (No. 6)
Symmetry-distinct sites (fractional):
Sr 0.000 0.000 0.000
Sr 0.000 0.000 0.495
Sr 0.000 0.500 0.000
Sr 0.000 0.500 0.495
Sr 0.494 0.000 0.494
Ca 0.490 0.000 0.006
Ca 0.491 0.500 0.007
Ca 0.491 0.500 0.488
Fe 0.745 0.251 0.247
Co 0.248 0.251 0.247
Co 0.249 0.251 0.749
Co 0.742 0.251 0.748
O 0.009 0.251 0.748
O 0.250 0.253 0.482
O 0.251 0.252 0.012
O 0.253 0.000 0.755
O 0.255 0.500 0.748
O 0.257 0.000 0.243
O 0.263 0.500 0.246
O 0.486 0.251 0.749
O 0.496 0.253 0.245
O 0.739 0.251 0.992
O 0.741 0.500 0.246
O 0.742 0.000 0.245
O 0.742 0.253 0.503
O 0.742 0.500 0.748
O 0.744 0.000 0.749
O 0.998 0.251 0.247

Top 10 peaks for 5° ≤ 2θ ≤ 70°, by angle:
11.51°, I 5; 32.82°, I 100; 32.89°, I 50; 40.52°, I 13; 47.03°, I 41; 47.35°, I 20; 58.57°, I 37; 58.78°, I 18; 68.70°, I 11; 68.95°, I 22

BaHoMgCo2O6: theoretical powder XRD pattern (Cu Ka), based on a structure optimized by DFT (GGA+U).

a = 3.307 Å, b = 4.133 Å, c = 11.851 Å
α = 90.00°, β = 90.00°, γ = 90.00°
Space group Pmm2 (No. 25)
Symmetry-distinct sites (fractional):
Ba 0.000 0.000 0.000
Ho 0.000 0.000 0.643
Mg 0.000 0.500 0.236
Co 0.500 0.500 0.473
Co 0.500 0.500 0.807
O 0.000 0.500 0.396
O 0.000 0.500 0.891
O 0.500 0.000 0.514
O 0.500 0.000 0.795
O 0.500 0.500 0.147
O 0.500 0.500 0.647

Top 10 peaks for 5° ≤ 2θ ≤ 70°, by angle:
7.46°, I 100; 26.29°, I 24; 31.32°, I 39; 34.74°, I 26; 35.40°, I 37; 35.58°, I 13; 37.99°, I 20; 43.81°, I 15; 57.53°, I 17; 58.87°, I 17

Li9Mn2Co5O16: theoretical powder XRD pattern (Cu Ka), based on a structure optimized by DFT (GGA+U).

a = 5.899 Å, b = 6.446 Å, c = 8.111 Å
α = 88.83°, β = 89.38°, γ = 65.90°
Space group P1 (No. 1)
Symmetry-distinct sites (fractional):
Li 0.000 0.000 0.000
Li 0.006 0.000 0.499
Li 0.120 0.243 0.243
Li 0.253 0.501 0.999
Li 0.368 0.753 0.754
Li 0.495 0.000 0.500
Li 0.634 0.248 0.245
Li 0.748 0.498 0.001
Li 0.879 0.755 0.757
Mn 0.250 0.500 0.499
Mn 0.501 0.000 0.001
Co 0.126 0.245 0.751
Co 0.362 0.758 0.247
Co 0.639 0.242 0.754
Co 0.751 0.500 0.500
Co 0.877 0.753 0.248
O 0.002 0.020 0.746
O 0.131 0.262 0.509
O 0.156 0.230 0.986
O 0.244 0.488 0.737
O 0.261 0.507 0.262
O 0.370 0.738 0.489
O 0.384 0.757 0.013
O 0.485 0.995 0.239
O 0.517 0.004 0.762
O 0.598 0.279 0.510
O 0.616 0.243 0.988
O 0.741 0.489 0.734
O 0.757 0.515 0.266
O 0.842 0.770 0.013
O 0.902 0.720 0.492
O 0.991 0.983 0.252

Top 10 peaks for 5° ≤ 2θ ≤ 70°, by angle:
18.48°, I 100; 35.10°, I 18; 36.80°, I 24; 37.50°, I 8; 42.24°, I 31; 44.70°, I 51; 58.82°, I 9; 63.03°, I 7; 63.18°, I 15; 65.81°, I 9

TlCr2FeO8: theoretical powder XRD pattern (Cu Ka), based on a structure optimized by DFT (GGA+U).

a = 14.819 Å, b = 5.553 Å, c = 8.874 Å
α = 90.00°, β = 90.00°, γ = 90.00°
Space group Pnma (No. 62)
Symmetry-distinct sites (fractional):
Tl 0.118 0.250 0.057
Cr 0.064 0.750 0.316
Cr 0.160 0.750 0.756
Fe 0.157 0.250 0.504
O 0.028 0.250 0.576
O 0.037 0.750 0.138
O 0.053 0.750 0.787
O 0.126 0.501 0.350
O 0.189 0.504 0.657
O 0.215 0.750 0.924

Top 10 peaks for 5° ≤ 2θ ≤ 70°, by angle:
11.62°, I 18; 19.99°, I 33; 24.02°, I 32; 26.13°, I 46; 26.41°, I 30; 28.43°, I 100; 32.24°, I 29; 32.59°, I 18; 39.97°, I 23; 55.18°, I 15

MgPb2WO6: theoretical powder XRD pattern (Cu Ka), based on a structure optimized by DFT (GGA+U).

a = 8.085 Å, b = 8.085 Å, c = 8.085 Å
α = 90.00°, β = 90.00°, γ = 90.00°
Space group Fm-3m (No. 225)
Symmetry-distinct sites (fractional):
Mg 0.000 0.000 0.000
Pb 0.250 0.250 0.250
W 0.000 0.000 0.500
O 0.000 0.000 0.258

Top 10 peaks for 5° ≤ 2θ ≤ 70°, by angle:
19.01°, I 17; 21.99°, I 9; 31.29°, I 100; 36.87°, I 9; 38.57°, I 10; 44.84°, I 28; 49.12°, I 4; 50.48°, I 5; 55.69°, I 41; 65.28°, I 18

CaMoF5: theoretical powder XRD pattern (Cu Ka), based on a structure optimized by DFT (GGA+U).

a = 5.724 Å, b = 10.748 Å, c = 7.995 Å
α = 90.00°, β = 109.86°, γ = 90.00°
Space group P2_1/c (No. 14)
Symmetry-distinct sites (fractional):
Ca 0.026 0.016 0.253
Mo 0.391 0.246 0.599
F 0.102 0.112 0.555
F 0.135 0.106 0.003
F 0.315 0.632 0.354
F 0.353 0.188 0.339
F 0.366 0.600 0.810

Top 10 peaks for 5° ≤ 2θ ≤ 70°, by angle:
16.49°, I 32; 18.43°, I 57; 23.39°, I 100; 25.09°, I 59; 25.24°, I 54; 42.00°, I 42; 45.39°, I 27; 47.91°, I 23; 48.16°, I 22; 50.90°, I 18

V2GeO4F2: theoretical powder XRD pattern (Cu Ka), based on a structure optimized by DFT (GGA+U).

a = 9.504 Å, b = 9.148 Å, c = 4.978 Å
α = 90.00°, β = 90.00°, γ = 90.00°
Space group Pnma (No. 62)
Symmetry-distinct sites (fractional):
V 0.130 0.084 0.096
Ge 0.062 0.750 0.395
O 0.008 0.590 0.215
O 0.026 0.250 0.290
O 0.248 0.750 0.450
F 0.249 0.564 0.911

Top 10 peaks for 5° ≤ 2θ ≤ 70°, by angle:
22.38°, I 62; 25.92°, I 66; 27.06°, I 29; 28.11°, I 92; 34.97°, I 100; 38.67°, I 33; 50.74°, I 27; 60.32°, I 30; 61.39°, I 28; 63.88°, I 35

What did the third record say?
Li9Mn2Co5O16: theoretical powder XRD pattern (Cu Ka), based on a structure optimized by DFT (GGA+U).

a = 5.899 Å, b = 6.446 Å, c = 8.111 Å
α = 88.83°, β = 89.38°, γ = 65.90°
Space group P1 (No. 1)
Symmetry-distinct sites (fractional):
Li 0.000 0.000 0.000
Li 0.006 0.000 0.499
Li 0.120 0.243 0.243
Li 0.253 0.501 0.999
Li 0.368 0.753 0.754
Li 0.495 0.000 0.500
Li 0.634 0.248 0.245
Li 0.748 0.498 0.001
Li 0.879 0.755 0.757
Mn 0.250 0.500 0.499
Mn 0.501 0.000 0.001
Co 0.126 0.245 0.751
Co 0.362 0.758 0.247
Co 0.639 0.242 0.754
Co 0.751 0.500 0.500
Co 0.877 0.753 0.248
O 0.002 0.020 0.746
O 0.131 0.262 0.509
O 0.156 0.230 0.986
O 0.244 0.488 0.737
O 0.261 0.507 0.262
O 0.370 0.738 0.489
O 0.384 0.757 0.013
O 0.485 0.995 0.239
O 0.517 0.004 0.762
O 0.598 0.279 0.510
O 0.616 0.243 0.988
O 0.741 0.489 0.734
O 0.757 0.515 0.266
O 0.842 0.770 0.013
O 0.902 0.720 0.492
O 0.991 0.983 0.252

Top 10 peaks for 5° ≤ 2θ ≤ 70°, by angle:
18.48°, I 100; 35.10°, I 18; 36.80°, I 24; 37.50°, I 8; 42.24°, I 31; 44.70°, I 51; 58.82°, I 9; 63.03°, I 7; 63.18°, I 15; 65.81°, I 9

Number 4 is which compound? TlCr2FeO8